Theoretical powder diffractogram
Compound: TaCu3Cl9
Radiation: Cu Kα X-rays
Structure: the PBE geometry in Alexandria
Peak positions follow from Bragg's law for the DFT cell and can differ from measured ones.

Principal peaks in the range 2θ from 10° to 80°, low angle first:
Position (°2θ)	intensity
11.8	44
13.3	31
16.8	15
16.9	100
19.0	19
20.9	9
22.3	12
23.9	15
28.2	12
30.3	11
35.1	11
40.2	12

Cell and atoms:
```
data_TaCu3Cl9
_chemical_formula_sum 'Ta2 Cu6 Cl18'
_symmetry_space_group_name_H-M 'P 1'
_symmetry_Int_Tables_number 1
_symmetry_space_group_name_Hall 'P 1'
_cell_length_a 9.641
_cell_length_b 9.641
_cell_length_c 13.359
_cell_angle_alpha 123.29
_cell_angle_beta 123.29
_cell_angle_gamma 56.22
loop_
_atom_site_label
_atom_site_type_symbol
_atom_site_fract_x
_atom_site_fract_y
_atom_site_fract_z
_atom_site_occupancy
Ta1 Ta 0.042 0.958 0.500 1
Ta2 Ta 0.958 0.042 0.000 1
Cu1 Cu 0.189 0.351 0.133 1
Cu2 Cu 0.349 0.604 0.725 1
Cu3 Cu 0.351 0.189 0.633 1
Cu4 Cu 0.483 0.737 0.395 1
Cu5 Cu 0.604 0.349 0.225 1
Cu6 Cu 0.737 0.483 0.895 1
Cl1 Cl 0.003 0.512 0.012 1
Cl2 Cl 0.020 0.133 0.419 1
Cl3 Cl 0.041 0.286 0.189 1
Cl4 Cl 0.100 0.749 0.579 1
Cl5 Cl 0.133 0.020 0.919 1
Cl6 Cl 0.179 0.838 0.098 1
Cl7 Cl 0.231 0.473 0.732 1
Cl8 Cl 0.286 0.041 0.689 1
Cl9 Cl 0.286 0.703 0.410 1
Cl10 Cl 0.473 0.231 0.232 1
Cl11 Cl 0.512 0.003 0.512 1
Cl12 Cl 0.577 0.662 0.787 1
Cl13 Cl 0.662 0.577 0.287 1
Cl14 Cl 0.703 0.286 0.910 1
Cl15 Cl 0.749 0.100 0.079 1
Cl16 Cl 0.838 0.179 0.598 1
Cl17 Cl 0.838 0.845 0.812 1
Cl18 Cl 0.845 0.838 0.312 1
```

---

Theoretical powder diffractogram
Compound: GaSF
Radiation: Cu Kα X-rays
Structure: the PBE geometry in Alexandria
Peak positions follow from Bragg's law for the DFT cell and can differ from measured ones.

Principal peaks in the range 2θ from 10° to 80°, low angle first:
Position (°2θ)	intensity
13.4	100
21.8	57
27.9	20
30.0	85
32.2	50
33.0	37
45.1	25
49.9	16
51.4	50
51.6	15
55.1	15
60.7	25

Cell and atoms:
```
data_GaSF
_chemical_formula_sum 'Ga2 S2 F2'
_symmetry_space_group_name_H-M 'P 1'
_symmetry_Int_Tables_number 1
_symmetry_space_group_name_Hall 'P 1'
_cell_length_a 3.653
_cell_length_b 6.607
_cell_length_c 5.163
_cell_angle_alpha 90.00
_cell_angle_beta 90.00
_cell_angle_gamma 90.00
loop_
_atom_site_label
_atom_site_type_symbol
_atom_site_fract_x
_atom_site_fract_y
_atom_site_fract_z
_atom_site_occupancy
Ga1 Ga 0.000 0.132 0.000 1
Ga2 Ga 0.500 0.868 0.500 1
S1 S 0.000 0.827 0.228 1
S2 S 0.500 0.173 0.728 1
F1 F 0.000 0.329 0.237 1
F2 F 0.500 0.671 0.737 1
```

---

Theoretical powder diffractogram
Compound: AcPaNbN3
Radiation: Cu Kα X-rays
Structure: the PBE geometry in Alexandria
Peak positions follow from Bragg's law for the DFT cell and can differ from measured ones.

Principal peaks in the range 2θ from 10° to 80°, low angle first:
Position (°2θ)	intensity
10.7	47
24.4	28
27.7	46
28.0	67
29.4	67
32.4	47
33.8	73
35.4	100
35.9	27
43.9	27
45.8	34
57.2	26

Cell and atoms:
```
data_AcPaNbN3
_chemical_formula_sum 'Ac2 Pa2 Nb2 N6'
_symmetry_space_group_name_H-M 'P 1'
_symmetry_Int_Tables_number 1
_symmetry_space_group_name_Hall 'P 1'
_cell_length_a 7.588
_cell_length_b 3.446
_cell_length_c 8.402
_cell_angle_alpha 90.00
_cell_angle_beta 99.54
_cell_angle_gamma 90.00
loop_
_atom_site_label
_atom_site_type_symbol
_atom_site_fract_x
_atom_site_fract_y
_atom_site_fract_z
_atom_site_occupancy
Ac1 Ac 0.160 0.250 0.190 1
Ac2 Ac 0.840 0.750 0.810 1
Pa1 Pa 0.352 0.750 0.845 1
Pa2 Pa 0.648 0.250 0.155 1
Nb1 Nb 0.120 0.250 0.577 1
Nb2 Nb 0.880 0.750 0.423 1
N1 N 0.145 0.250 0.853 1
N2 N 0.176 0.750 0.432 1
N3 N 0.430 0.750 0.111 1
N4 N 0.570 0.250 0.889 1
N5 N 0.824 0.250 0.568 1
N6 N 0.855 0.750 0.147 1
```

---

Theoretical powder diffractogram
Compound: Nb4CrTc3
Radiation: Cu Kα X-rays
Structure: the PBE geometry in Alexandria
Peak positions follow from Bragg's law for the DFT cell and can differ from measured ones.

Principal peaks in the range 2θ from 10° to 80°, low angle first:
Position (°2θ)	intensity
13.9	1
29.0	1
31.5	1
35.3	1
40.2	100
58.1	16
73.0	32

Cell and atoms:
```
data_Nb4CrTc3
_chemical_formula_sum 'Nb4 Cr1 Tc3'
_symmetry_space_group_name_H-M 'P 1'
_symmetry_Int_Tables_number 1
_symmetry_space_group_name_Hall 'P 1'
_cell_length_a 3.174
_cell_length_b 3.174
_cell_length_c 12.699
_cell_angle_alpha 90.00
_cell_angle_beta 90.00
_cell_angle_gamma 90.00
loop_
_atom_site_label
_atom_site_type_symbol
_atom_site_fract_x
_atom_site_fract_y
_atom_site_fract_z
_atom_site_occupancy
Nb1 Nb 0.000 0.000 0.120 1
Nb2 Nb 0.000 0.000 0.373 1
Nb3 Nb 0.000 0.000 0.627 1
Nb4 Nb 0.000 0.000 0.880 1
Cr1 Cr 0.500 0.500 0.000 1
Tc1 Tc 0.500 0.500 0.248 1
Tc2 Tc 0.500 0.500 0.500 1
Tc3 Tc 0.500 0.500 0.752 1
```

---

Theoretical powder diffractogram
Compound: TlHgMo2H
Radiation: Cu Kα X-rays
Structure: the PBE geometry in Alexandria
Peak positions follow from Bragg's law for the DFT cell and can differ from measured ones.

Principal peaks in the range 2θ from 10° to 80°, low angle first:
Position (°2θ)	intensity
18.3	15
31.3	9
36.5	100
37.1	24
44.9	28
48.8	5
49.3	5
59.6	24
65.3	9
66.5	17
77.2	23
77.6	11

Cell and atoms:
```
data_TlHgMo2H
_chemical_formula_sum 'Tl1 Hg1 Mo2 H1'
_symmetry_space_group_name_H-M 'P 1'
_symmetry_Int_Tables_number 1
_symmetry_space_group_name_Hall 'P 1'
_cell_length_a 4.041
_cell_length_b 4.041
_cell_length_c 4.849
_cell_angle_alpha 90.00
_cell_angle_beta 90.00
_cell_angle_gamma 90.00
loop_
_atom_site_label
_atom_site_type_symbol
_atom_site_fract_x
_atom_site_fract_y
_atom_site_fract_z
_atom_site_occupancy
Tl1 Tl 0.000 0.000 0.000 1
Hg1 Hg 0.500 0.500 0.000 1
Mo1 Mo 0.000 0.500 0.500 1
Mo2 Mo 0.500 0.000 0.500 1
H1 H 0.000 0.000 0.500 1
```

---

Theoretical powder diffractogram
Compound: TlBi2S4
Radiation: Cu Kα X-rays
Structure: the PBE geometry in Alexandria
Peak positions follow from Bragg's law for the DFT cell and can differ from measured ones.

Principal peaks in the range 2θ from 10° to 80°, low angle first:
Position (°2θ)	intensity
21.2	26
24.9	100
26.1	19
30.2	16
37.2	12
39.5	45
43.2	54
50.5	16
51.1	12
59.9	12
60.0	14
79.2	12

Cell and atoms:
```
data_TlBi2S4
_chemical_formula_sum 'Tl2 Bi4 S8'
_symmetry_space_group_name_H-M 'P 1'
_symmetry_Int_Tables_number 1
_symmetry_space_group_name_Hall 'P 1'
_cell_length_a 8.381
_cell_length_b 8.381
_cell_length_c 8.381
_cell_angle_alpha 120.08
_cell_angle_beta 120.08
_cell_angle_gamma 89.87
loop_
_atom_site_label
_atom_site_type_symbol
_atom_site_fract_x
_atom_site_fract_y
_atom_site_fract_z
_atom_site_occupancy
Tl1 Tl 0.375 0.625 0.750 1
Tl2 Tl 0.625 0.375 0.250 1
Bi1 Bi 0.000 0.000 0.000 1
Bi2 Bi 0.000 0.000 0.500 1
Bi3 Bi 0.000 0.500 0.000 1
Bi4 Bi 0.500 0.000 0.500 1
S1 S 0.220 0.240 0.980 1
S2 S 0.240 0.220 0.480 1
S3 S 0.240 0.759 0.020 1
S4 S 0.241 0.760 0.480 1
S5 S 0.759 0.240 0.520 1
S6 S 0.760 0.241 0.980 1
S7 S 0.760 0.780 0.520 1
S8 S 0.780 0.760 0.020 1
```